The following is a simulated powder diffraction line list of Sr2LiO12. It was derived from the PBE geometry in Alexandria, using CuKα.
Peak positions follow from Bragg's law for the DFT cell and can differ from measured ones.

Top 12 peaks for 2θ from 10° to 90°, sorted by position:
| Position (°2θ) | d (Å) | I_rel | hkl |
| --- | --- | --- | --- |
| 17.64 | 5.029 | 100 | 0 1 1 |
| 18.81 | 4.718 | 71 | 1 0 0 |
| 20.30 | 4.374 | 39 | 1 0 1 |
| 21.61 | 4.112 | 36 | 1 1 0 |
| 22.49 | 3.953 | 29 | 0 1 -1 |
| 23.33 | 3.812 | 29 | 0 0 2 |
| 32.41 | 2.763 | 41 | 0 2 1 |
| 32.72 | 2.737 | 35 | 1 0 -2 |
| 37.45 | 2.401 | 31 | 1 -1 2 |
| 37.87 | 2.376 | 29 | 2 0 1 |
| 38.01 | 2.367 | 28 | 2 1 2 |
| 39.71 | 2.270 | 46 | 1 2 3 |

Structure:
a b c (Å): 5.056 5.860 8.155
angles (deg): 71.82 74.98 71.46
Positions (direct):
1 Sr 0.000 0.000 0.000
2 Sr 0.195 0.630 0.539
3 Li 0.063 0.319 0.266
4 O 0.007 0.111 0.557
5 O 0.092 0.640 0.864
6 O 0.128 0.420 0.983
7 O 0.158 0.159 0.646
8 O 0.292 0.965 0.236
9 O 0.443 0.337 0.311
10 O 0.488 0.933 0.092
11 O 0.632 0.300 0.686
12 O 0.695 0.276 0.221
13 O 0.697 0.715 0.441
14 O 0.761 0.373 0.770
15 O 0.894 0.669 0.300